Entry 1:
The following is a computed X-ray diffraction stick pattern of BaGe. It was derived from a DFT-relaxed cell (GGA-PBE, the Materials Project), using Cu Kα (weighted mean of Kα1 and Kα2).
Kinematic intensities with the Lorentz-polarization factor, no thermal factor.

Crystal structure
a = 5.0977 Å, b = 12.1767 Å, c = 4.3642 Å
α = 90.00°, β = 90.00°, γ = 90.00°
Atoms (fractional coordinates):
1 Ba 0.0000 0.1368 0.2500
2 Ba 0.0000 0.8632 0.7500
3 Ba 0.5000 0.3632 0.7500
4 Ba 0.5000 0.6368 0.2500
5 Ge 0.0000 0.4358 0.2500
6 Ge 0.0000 0.5642 0.7500
7 Ge 0.5000 0.0642 0.7500
8 Ge 0.5000 0.9358 0.2500

Peak list (12 most intense, 10° ≤ 2θ ≤ 80°, by intensity)
2θ (°)  intensity
27.89  100
34.95  65
28.10  56
35.21  35
25.11  22
41.38  22
29.34  22
50.77  21
35.97  20
55.43  18
62.22  17
49.53  17

Entry 2:
The following is a computed X-ray diffraction stick pattern of BaGe2. It was derived from a DFT-relaxed cell (GGA-PBE, the Materials Project), using Cu Kα (weighted mean of Kα1 and Kα2).
Kinematic intensities with the Lorentz-polarization factor, no thermal factor.

Crystal structure
a = 4.8263 Å, b = 4.8263 Å, c = 14.9112 Å
α = 90.00°, β = 90.00°, γ = 90.00°
Atoms (fractional coordinates):
1 Ba 0.0000 0.2500 0.3750
2 Ba 0.0000 0.7500 0.6250
3 Ba 0.5000 0.2500 0.1250
4 Ba 0.5000 0.7500 0.8750
5 Ge 0.0000 0.2500 0.7919
6 Ge 0.0000 0.2500 0.9581
7 Ge 0.0000 0.7500 0.0419
8 Ge 0.0000 0.7500 0.2081
9 Ge 0.5000 0.2500 0.5419
10 Ge 0.5000 0.2500 0.7081
11 Ge 0.5000 0.7500 0.2919
12 Ge 0.5000 0.7500 0.4581

Peak list (12 most intense, 10° ≤ 2θ ≤ 80°, by intensity)
2θ (°)  intensity
28.77  100
37.26  46
35.38  46
52.32  29
25.73  26
62.07  22
46.61  21
61.12  19
53.72  16
45.83  11
78.29  9
68.69  8

Entry 3:
The following is a computed X-ray diffraction stick pattern of Ba3Ge4. It was derived from a DFT-relaxed cell (GGA-PBE, the Materials Project), using Cu Kα (weighted mean of Kα1 and Kα2).
Kinematic intensities with the Lorentz-polarization factor, no thermal factor.

Crystal structure
a = 8.5830 Å, b = 8.5830 Å, c = 12.2718 Å
α = 90.00°, β = 90.00°, γ = 91.94°
Atoms (fractional coordinates):
1 Ba 0.0000 0.0000 0.1614
2 Ba 0.0000 0.0000 0.8386
3 Ba 0.0000 0.5000 0.2555
4 Ba 0.0000 0.5000 0.7445
5 Ba 0.1592 0.8408 0.5000
6 Ba 0.3368 0.3368 0.0000
7 Ba 0.5000 0.0000 0.2555
8 Ba 0.5000 0.0000 0.7445
9 Ba 0.5000 0.5000 0.3254
10 Ba 0.5000 0.5000 0.6746
11 Ba 0.6632 0.6632 0.0000
12 Ba 0.8408 0.1592 0.5000
13 Ge 0.0638 0.6598 0.0000
14 Ge 0.1967 0.1967 0.3498
15 Ge 0.1967 0.1967 0.6502
16 Ge 0.1995 0.4113 0.5000
17 Ge 0.2951 0.7049 0.1382
18 Ge 0.2951 0.7049 0.8618
19 Ge 0.3402 0.9362 0.0000
20 Ge 0.4113 0.1995 0.5000
21 Ge 0.5887 0.8005 0.5000
22 Ge 0.6598 0.0638 0.0000
23 Ge 0.7049 0.2951 0.1382
24 Ge 0.7049 0.2951 0.8618
25 Ge 0.8005 0.5887 0.5000
26 Ge 0.8033 0.8033 0.3498
27 Ge 0.8033 0.8033 0.6502
28 Ge 0.9362 0.3402 0.0000

Peak list (12 most intense, 10° ≤ 2θ ≤ 80°, by intensity)
2θ (°)  intensity
32.16  100
25.34  59
29.92  31
37.32  29
44.77  26
28.94  25
27.69  24
24.10  19
31.75  19
44.30  19
48.06  18
32.83  18

Entry 4:
The following is a computed X-ray diffraction stick pattern of BaGe2. It was derived from a DFT-relaxed cell (GGA-PBE, the Materials Project), using Cu Kα (weighted mean of Kα1 and Kα2).
Kinematic intensities with the Lorentz-polarization factor, no thermal factor.

Crystal structure
a = 9.2699 Å, b = 6.8770 Å, c = 11.7292 Å
α = 90.00°, β = 90.00°, γ = 90.00°
Atoms (fractional coordinates):
1 Ba 0.0143 0.2500 0.1906
2 Ba 0.1525 0.7500 0.4067
3 Ba 0.3475 0.2500 0.9067
4 Ba 0.4857 0.7500 0.6906
5 Ba 0.5143 0.2500 0.3094
6 Ba 0.6525 0.7500 0.0933
7 Ba 0.8475 0.2500 0.5933
8 Ba 0.9857 0.7500 0.8094
9 Ge 0.0769 0.7500 0.0928
10 Ge 0.1920 0.0625 0.6497
11 Ge 0.1920 0.4375 0.6497
12 Ge 0.1951 0.2500 0.4593
13 Ge 0.3049 0.7500 0.9593
14 Ge 0.3080 0.5625 0.1497
15 Ge 0.3080 0.9375 0.1497
16 Ge 0.4231 0.2500 0.5928
17 Ge 0.5769 0.7500 0.4072
18 Ge 0.6920 0.0625 0.8503
19 Ge 0.6920 0.4375 0.8503
20 Ge 0.6951 0.2500 0.0407
21 Ge 0.8049 0.7500 0.5407
22 Ge 0.8080 0.5625 0.3503
23 Ge 0.8080 0.9375 0.3503
24 Ge 0.9231 0.2500 0.9072

Peak list (12 most intense, 10° ≤ 2θ ≤ 80°, by intensity)
2θ (°)  intensity
29.90  100
39.97  60
26.22  59
25.91  56
24.37  56
31.67  50
33.33  47
22.11  38
41.86  32
32.01  29
35.95  29
36.11  29

Entry 5:
The following is a computed X-ray diffraction stick pattern of Ba3Ge4. It was derived from a DFT-relaxed cell (GGA-PBE, the Materials Project), using Cu Kα (weighted mean of Kα1 and Kα2).
Kinematic intensities with the Lorentz-polarization factor, no thermal factor.

Crystal structure
a = 8.6781 Å, b = 8.6781 Å, c = 12.2555 Å
α = 90.00°, β = 90.00°, γ = 90.00°
Atoms (fractional coordinates):
1 Ba 0.0000 0.0000 0.1696
2 Ba 0.0000 0.0000 0.8304
3 Ba 0.0000 0.5000 0.2500
4 Ba 0.0000 0.5000 0.7500
5 Ba 0.1623 0.1623 0.5000
6 Ba 0.3377 0.6623 0.0000
7 Ba 0.5000 0.0000 0.2500
8 Ba 0.5000 0.0000 0.7500
9 Ba 0.5000 0.5000 0.3304
10 Ba 0.5000 0.5000 0.6696
11 Ba 0.6623 0.3377 0.0000
12 Ba 0.8377 0.8377 0.5000
13 Ge 0.0886 0.3040 0.0000
14 Ge 0.1960 0.5886 0.5000
15 Ge 0.1974 0.8026 0.3517
16 Ge 0.1974 0.8026 0.6483
17 Ge 0.3026 0.3026 0.1483
18 Ge 0.3026 0.3026 0.8517
19 Ge 0.3040 0.0886 0.0000
20 Ge 0.4114 0.8040 0.5000
21 Ge 0.5886 0.1960 0.5000
22 Ge 0.6960 0.9114 0.0000
23 Ge 0.6974 0.6974 0.1483
24 Ge 0.6974 0.6974 0.8517
25 Ge 0.8026 0.1974 0.3517
26 Ge 0.8026 0.1974 0.6483
27 Ge 0.8040 0.4114 0.5000
28 Ge 0.9114 0.6960 0.0000

Peak list (12 most intense, 10° ≤ 2θ ≤ 80°, by intensity)
2θ (°)  intensity
31.79  100
25.15  63
32.65  56
44.31  47
29.11  47
27.20  44
46.84  35
37.40  31
57.71  29
36.63  22
24.07  22
64.46  21

Entry 6:
The following is a computed X-ray diffraction stick pattern of BaGe5. It was derived from a DFT-relaxed cell (GGA-PBE, the Materials Project), using Cu Kα (weighted mean of Kα1 and Kα2).
Kinematic intensities with the Lorentz-polarization factor, no thermal factor.

Crystal structure
a = 8.5367 Å, b = 8.5367 Å, c = 8.5367 Å
α = 147.01°, β = 119.78°, γ = 70.40°
Atoms (fractional coordinates):
1 Ba 0.2830 0.0330 0.2500
2 Ba 0.7170 0.9670 0.7500
3 Ge 0.0953 0.1925 0.9028
4 Ge 0.0968 0.6209 0.4759
5 Ge 0.2102 0.8075 0.4028
6 Ge 0.3550 0.3791 0.9759
7 Ge 0.4597 0.7097 0.7500
8 Ge 0.5403 0.2903 0.2500
9 Ge 0.6450 0.6209 0.0241
10 Ge 0.7898 0.1925 0.5972
11 Ge 0.9032 0.3791 0.5241
12 Ge 0.9047 0.8075 0.0972

Peak list (12 most intense, 10° ≤ 2θ ≤ 80°, by intensity)
2θ (°)  intensity
37.12  100
33.33  84
28.54  79
50.57  77
32.00  60
33.13  49
49.78  34
42.95  19
33.78  19
26.56  19
54.29  18
33.94  16

Entry 7:
The following is a computed X-ray diffraction stick pattern of Ba3GeI2. It was derived from a DFT-relaxed cell (GGA-PBE, the Materials Project), using Cu Kα (weighted mean of Kα1 and Kα2).
Kinematic intensities with the Lorentz-polarization factor, no thermal factor.

Crystal structure
a = 16.5825 Å, b = 15.8174 Å, c = 8.7774 Å
α = 79.15°, β = 69.52°, γ = 31.32°
Atoms (fractional coordinates):
1 Ba 0.0309 0.5369 0.1813
2 Ba 0.0837 0.6663 0.6663
3 Ba 0.1813 0.7509 0.0309
4 Ba 0.2491 0.8187 0.4631
5 Ba 0.3337 0.9163 0.9163
6 Ba 0.4631 0.9691 0.2491
7 Ba 0.5369 0.0309 0.7509
8 Ba 0.6663 0.0837 0.0837
9 Ba 0.7509 0.1813 0.5369
10 Ba 0.8187 0.2491 0.9691
11 Ba 0.9163 0.3337 0.3337
12 Ba 0.9691 0.4631 0.8187
13 Ge 0.0409 0.0409 0.2091
14 Ge 0.2091 0.2091 0.0409
15 Ge 0.7909 0.7909 0.9591
16 Ge 0.9591 0.9591 0.7909
17 I 0.1290 0.1290 0.6210
18 I 0.2977 0.2977 0.4523
19 I 0.3790 0.3790 0.8710
20 I 0.4523 0.4523 0.2977
21 I 0.5477 0.5477 0.7023
22 I 0.6210 0.6210 0.1290
23 I 0.7023 0.7023 0.5477
24 I 0.8710 0.8710 0.3790

Peak list (12 most intense, 10° ≤ 2θ ≤ 80°, by intensity)
2θ (°)  intensity
24.94  100
35.57  48
44.30  13
36.00  12
35.11  12
43.56  12
51.18  10
57.78  9
57.74  9
32.45  6
64.44  6
63.29  5

Entry 8:
The following is a computed X-ray diffraction stick pattern of Ba2MgGe4Ir4. It was derived from a DFT-relaxed cell (GGA-PBE, the Materials Project), using Cu Kα (weighted mean of Kα1 and Kα2).
Kinematic intensities with the Lorentz-polarization factor, no thermal factor.

Crystal structure
a = 6.6559 Å, b = 6.6559 Å, c = 11.7269 Å
α = 90.00°, β = 90.00°, γ = 65.41°
Atoms (fractional coordinates):
1 Ba 0.2048 0.2048 0.0000
2 Ba 0.2048 0.2048 0.5000
3 Ba 0.7952 0.7952 0.0000
4 Ba 0.7952 0.7952 0.5000
5 Mg 0.0190 0.9810 0.7500
6 Mg 0.9810 0.0190 0.2500
7 Ge 0.1074 0.5216 0.2500
8 Ge 0.3334 0.6666 0.5772
9 Ge 0.3334 0.6666 0.9228
10 Ge 0.4784 0.8926 0.2500
11 Ge 0.5216 0.1074 0.7500
12 Ge 0.6666 0.3334 0.0772
13 Ge 0.6666 0.3334 0.4228
14 Ge 0.8926 0.4784 0.7500
15 Ir 0.2421 0.5031 0.7500
16 Ir 0.3218 0.6782 0.1299
17 Ir 0.3218 0.6782 0.3701
18 Ir 0.4969 0.7579 0.7500
19 Ir 0.5031 0.2421 0.2500
20 Ir 0.6782 0.3218 0.6299
21 Ir 0.6782 0.3218 0.8701
22 Ir 0.7579 0.4969 0.2500

Peak list (12 most intense, 10° ≤ 2θ ≤ 80°, by intensity)
2θ (°)  intensity
14.64  100
31.00  71
38.39  64
34.53  62
55.27  50
41.59  39
41.28  35
21.10  34
33.32  33
42.98  33
35.53  30
29.52  30